No. 1
Simulated PXRD pattern of K3U2Se3O4 for Cu Kα, 1.54184 Å, from a PBE-relaxed structure.
No peak broadening, texture or thermal motion is included.

Crystal structure
abc: 4.2396 5.6363 24.7589
angles: 90.00 90.00 90.00
Space group Immm (No. 71)
Unique sites:
1 K 0.0000 0.0000 0.0000 x2
2 K 0.0000 0.0000 0.2019 x4
3 U 0.0000 0.0000 0.3866 x4
4 Se 0.0000 0.0000 0.5000 x2
5 Se 0.0000 0.5000 0.3934 x4
6 O 0.0000 0.0000 0.3090 x4
7 O 0.0000 0.5000 0.1132 x4

Main lines, by angle (10° ≤ 2θ ≤ 80°):
6.190 Å, I = 100.0
5.496 Å, I = 52.9
4.179 Å, I = 86.5
3.388 Å, I = 59.0
3.220 Å, I = 63.1
2.818 Å, I = 58.0
2.475 Å, I = 36.6
2.336 Å, I = 39.2
2.308 Å, I = 28.0
2.120 Å, I = 65.5

---

No. 2
Simulated PXRD pattern of CaScAlAg for Cu Kα, 1.54184 Å, from a PBE-relaxed structure.
No peak broadening, texture or thermal motion is included.

Crystal structure
abc: 7.1226 7.1226 7.1226
angles: 90.00 90.00 90.00
Space group F-43m (No. 216)
Unique sites:
1 Ca 0.0000 0.0000 0.0000 x4
2 Sc 0.0000 0.0000 0.5000 x4
3 Al 0.2500 0.2500 0.2500 x4
4 Ag 0.2500 0.2500 0.7500 x4

Main lines, by angle (10° ≤ 2θ ≤ 80°):
4.112 Å, I = 33.7
3.561 Å, I = 6.5
2.518 Å, I = 100.0
2.148 Å, I = 17.8
1.781 Å, I = 16.5
1.634 Å, I = 7.1
1.454 Å, I = 32.5
1.371 Å, I = 5.1
1.259 Å, I = 9.8
1.204 Å, I = 5.0